1.
Starting from the PBE geometry in OQMD, the powder diffraction line list of DyHo2Ga3CuNi2 was computed for Cu Kα.
No peak broadening, texture or thermal motion is included.

Largest 8 diffraction maxima, sorted by position, 10 to 80 degrees two-theta:
| Position (°2θ) | intensity | index |
| --- | --- | --- |
| 34.9 | 100.0 | 1 0 2 |
| 38.0 | 86.0 | 1 2 2 |
| 38.7 | 44.0 | 0 5 1 |
| 44.2 | 23.0 | 0 6 0 |
| 49.0 | 20.9 | 2 0 0 |
| 53.7 | 20.0 | 0 5 3 |
| 59.6 | 28.3 | 1 2 4 |
| 71.5 | 22.7 | 1 7 3 |

Cell and atoms:
Unit cell a=3.717 b=12.301 c=7.099 alpha=90.00 beta=90.00 gamma=90.00
Space group Amm2 (No. 38)
One atom of each set of equivalent atoms:
Dy  0.000  0.000  0.000 x2
Ho  0.000  0.207  0.620 x4
Ga  0.500  0.000  0.668 x2
Ga  0.500  0.128  0.286 x4
Cu  0.000  0.000  0.414 x2
Ni  0.500  0.167  0.913 x4

=====

2.
Starting from the PBE geometry in OQMD, the powder diffraction line list of ZnInCu2 was computed for Cu Kα.
No peak broadening, texture or thermal motion is included.

Largest 8 diffraction maxima, sorted by position, 10 to 80 degrees two-theta:
| Position (°2θ) | intensity | index |
| --- | --- | --- |
| 28.8 | 3.8 | 2 0 0 |
| 32.3 | 6.0 | 2 1 0 |
| 41.2 | 100.0 | 2 2 0 |
| 43.8 | 2.3 | 3 0 0 |
| 59.7 | 15.0 | 4 0 0 |
| 61.7 | 2.8 | 3 2 2 |
| 67.6 | 2.3 | 4 2 0 |
| 75.1 | 27.9 | 4 2 2 |

Cell and atoms:
Unit cell a=6.198 b=6.198 c=6.198 alpha=90.00 beta=90.00 gamma=90.00
Space group Pm-3m (No. 221)
One atom of each set of equivalent atoms:
Zn  0.000  0.000  0.000 x1
Zn  0.000  0.000  0.500 x3
In  0.000  0.500  0.500 x3
In  0.500  0.500  0.500 x1
Cu  0.230  0.230  0.230 x8

=====

3.
Starting from the PBE geometry in OQMD, the powder diffraction line list of KRb2P2Pt3 was computed for Cu Kα.
No peak broadening, texture or thermal motion is included.

Largest 8 diffraction maxima, sorted by position, 10 to 80 degrees two-theta:
| Position (°2θ) | intensity | index |
| --- | --- | --- |
| 12.7 | 100.0 | 0 0 3 |
| 27.8 | 31.1 | 0 1 5 |
| 35.9 | 44.3 | 0 2 1 |
| 36.7 | 35.9 | 2 0 2 |
| 39.7 | 23.4 | 0 2 4 |
| 40.4 | 19.9 | 1 1 6 |
| 50.3 | 17.4 | 2 0 8 |
| 57.4 | 17.7 | 0 2 10 |

Cell and atoms:
Unit cell a=5.8257 b=5.8257 c=20.8429 alpha=90.00 beta=90.00 gamma=120.00
Space group R-3m (No. 166, hexagonal axes)
One atom of each set of equivalent atoms:
K  0.0000  0.0000  0.0000 x3
Rb  0.0000  0.0000  0.4107 x6
P  0.0000  0.0000  0.2456 x6
Pt  0.0000  0.5000  0.5000 x9

=====

4.
Starting from the PBE geometry in OQMD, the powder diffraction line list of Dy2Fe2SiGeC was computed for Cu Kα.
No peak broadening, texture or thermal motion is included.

Largest 8 diffraction maxima, sorted by position, 10 to 80 degrees two-theta:
| Position (°2θ) | intensity | index |
| --- | --- | --- |
| 25.0 | 52.9 | 1 1 0 |
| 34.1 | 67.9 | 0 0 2 |
| 34.2 | 70.2 | 3 1 -1 |
| 35.4 | 38.7 | 4 0 -1 |
| 36.5 | 100.0 | 1 1 -2 |
| 36.7 | 38.7 | 3 1 -2 |
| 40.0 | 44.5 | 3 1 0 |
| 46.0 | 40.6 | 0 2 0 |

Cell and atoms:
Unit cell a=10.613 b=3.947 c=6.775 alpha=90.00 beta=129.07 gamma=90.00
Space group Cm (No. 8)
One atom of each set of equivalent atoms:
Dy  0.000  0.000  0.000 x2
Dy  0.117  0.000  0.583 x2
Fe  0.254  0.500  0.378 x2
Fe  0.356  0.000  0.191 x2
Si  0.224  0.500  0.010 x2
Ge  0.400  0.000  0.583 x2
C  0.057  0.500  0.289 x2

=====

5.
Starting from the PBE geometry in OQMD, the powder diffraction line list of La2Fe3W2 was computed for Cu Kα.
No peak broadening, texture or thermal motion is included.

Largest 8 diffraction maxima, sorted by position, 10 to 80 degrees two-theta:
| Position (°2θ) | intensity | index |
| --- | --- | --- |
| 11.8 | 28.8 | 0 0 3 |
| 27.6 | 54.7 | 1 0 4 |
| 30.1 | 30.3 | 0 1 5 |
| 35.9 | 28.5 | 0 0 9 |
| 39.3 | 21.5 | 0 1 8 |
| 39.5 | 100.0 | 1 1 0 |
| 54.5 | 53.3 | 1 1 9 |
| 71.7 | 16.8 | 3 0 0 |

Cell and atoms:
Unit cell a=4.5588 b=4.5588 c=22.4907 alpha=90.00 beta=90.00 gamma=120.00
Space group R3m (No. 160, hexagonal axes)
One atom of each set of equivalent atoms:
La  0.0000  0.0000  0.0000 x3
La  0.0000  0.0000  0.4554 x3
Fe  0.0000  0.0000  0.3263 x3
Fe  0.0000  0.0000  0.5789 x3
Fe  0.0000  0.0000  0.8706 x3
W  0.0000  0.0000  0.2256 x3
W  0.0000  0.0000  0.6864 x3

=====

6.
Starting from the PBE geometry in OQMD, the powder diffraction line list of Tl2Cd was computed for Cu Kα.
No peak broadening, texture or thermal motion is included.

Largest 8 diffraction maxima, sorted by position, 10 to 80 degrees two-theta:
| Position (°2θ) | intensity | index |
| --- | --- | --- |
| 29.6 | 100.0 | 1 1 1 |
| 31.4 | 38.7 | 0 0 3 |
| 34.8 | 73.3 | 1 1 2 |
| 39.4 | 26.3 | 0 2 0 |
| 39.6 | 25.9 | 2 0 0 |
| 51.2 | 36.2 | 0 2 3 |
| 51.4 | 19.7 | 2 0 3 |
| 66.6 | 18.2 | 2 2 3 |

Cell and atoms:
Unit cell a=4.547 b=4.577 c=8.549 alpha=90.00 beta=90.00 gamma=90.00
Space group Pmmn (No. 59, origin choice 2)
One atom of each set of equivalent atoms:
Tl  0.250  0.250  0.002 x2
Tl  0.250  0.750  0.649 x2
Cd  0.250  0.750  0.286 x2

=====

7.
Starting from the PBE geometry in OQMD, the powder diffraction line list of Na2MgOsO6 was computed for Cu Kα.
No peak broadening, texture or thermal motion is included.

Largest 8 diffraction maxima, sorted by position, 10 to 80 degrees two-theta:
| Position (°2θ) | intensity | index |
| --- | --- | --- |
| 20.1 | 100.0 | 1 0 1 |
| 22.8 | 26.5 | 0 0 2 |
| 23.4 | 45.6 | 1 1 0 |
| 33.0 | 51.4 | 1 1 2 |
| 33.4 | 30.5 | 2 0 0 |
| 39.3 | 34.9 | 2 1 1 |
| 47.9 | 19.6 | 2 2 0 |
| 59.4 | 24.1 | 3 1 2 |

Cell and atoms:
Unit cell a=5.368 b=5.368 c=7.785 alpha=90.00 beta=90.00 gamma=90.00
Space group I4/m (No. 87)
One atom of each set of equivalent atoms:
Na  0.000  0.500  0.250 x4
Mg  0.000  0.000  0.000 x2
Os  0.000  0.000  0.500 x2
O  0.000  0.000  0.261 x4
O  0.184  0.706  0.500 x8

=====

8.
Starting from the PBE geometry in OQMD, the powder diffraction line list of LuScNO was computed for Cu Kα.
No peak broadening, texture or thermal motion is included.

Largest 8 diffraction maxima, sorted by position, 10 to 80 degrees two-theta:
| Position (°2θ) | intensity | index |
| --- | --- | --- |
| 11.5 | 74.1 | 1 0 0 |
| 26.6 | 44.7 | 1 1 1 |
| 27.2 | 33.0 | 2 1 0 |
| 28.5 | 32.6 | 0 2 0 |
| 33.6 | 100.0 | 2 1 1 |
| 34.6 | 29.0 | 0 2 1 |
| 39.0 | 34.3 | 0 0 2 |
| 49.7 | 29.4 | 2 3 0 |

Cell and atoms:
Unit cell a=7.682 b=6.257 c=4.619 alpha=90.00 beta=90.00 gamma=90.00
Space group Pbcm (No. 57)
One atom of each set of equivalent atoms:
Lu  0.128  0.063  0.250 x4
Sc  0.380  0.587  0.250 x4
N  0.383  0.575  0.750 x4
O  0.140  0.091  0.750 x4

=====

What did the second record say?
Starting from the PBE geometry in OQMD, the powder diffraction line list of ZnInCu2 was computed for Cu Kα.
No peak broadening, texture or thermal motion is included.

Largest 8 diffraction maxima, sorted by position, 10 to 80 degrees two-theta:
| Position (°2θ) | intensity | index |
| --- | --- | --- |
| 28.8 | 3.8 | 2 0 0 |
| 32.3 | 6.0 | 2 1 0 |
| 41.2 | 100.0 | 2 2 0 |
| 43.8 | 2.3 | 3 0 0 |
| 59.7 | 15.0 | 4 0 0 |
| 61.7 | 2.8 | 3 2 2 |
| 67.6 | 2.3 | 4 2 0 |
| 75.1 | 27.9 | 4 2 2 |

Cell and atoms:
Unit cell a=6.198 b=6.198 c=6.198 alpha=90.00 beta=90.00 gamma=90.00
Space group Pm-3m (No. 221)
One atom of each set of equivalent atoms:
Zn  0.000  0.000  0.000 x1
Zn  0.000  0.000  0.500 x3
In  0.000  0.500  0.500 x3
In  0.500  0.500  0.500 x1
Cu  0.230  0.230  0.230 x8